(1)
The following is a computed X-ray diffraction stick pattern of CuH4NCl3. It was derived from DFT lattice parameters and positions (PBE), using a wavelength of 1.5418 Å.
Kinematic intensities with the Lorentz-polarization factor, no thermal factor.

Structural model:
abc: 4.7864 4.9172 4.9179
angles: 90.00 90.01 90.02
Space group P1 (No. 1)
Asymmetric unit:
Cu  0.0000  0.0000  0.0000
H  0.3742  0.3302  0.5007
H  0.3756  0.6729  0.5010
H  0.6262  0.5005  0.6722
H  0.6263  0.5008  0.3296
N  0.5006  0.5011  0.5009
Cl  0.0175  0.0007  0.5005
Cl  0.5003  0.0006  0.0007
Cl  0.9837  0.5004  0.0007

Top 10 peaks for 10 to 80 degrees two-theta, by angle:
d/Å  two_theta  I_rel  h k l
4.918  18.04  100  0 1 0
4.786  18.54  47  1 0 0
3.430  25.98  30  1 0 1
2.459  36.55  81  0 2 0
2.393  37.58  36  2 0 0
2.199  41.04  27  0 2 1
2.187  41.28  26  1 2 0
2.152  41.99  26  2 0 1
1.739  52.64  24  0 2 2
1.715  53.43  46  2 2 0

(2)
The following is a computed X-ray diffraction stick pattern of CuH3NCl. It was derived from DFT lattice parameters and positions (PBE), using a wavelength of 1.5418 Å.
Kinematic intensities with the Lorentz-polarization factor, no thermal factor.

Structural model:
abc: 8.4601 8.4601 8.4601
angles: 90.00 90.00 90.00
Space group I2_13 (No. 199)
Asymmetric unit:
Cu  0.1222  0.3778  0.6222
H  0.0585  0.4153  0.0749
N  0.0078  0.0078  0.0078
Cl  0.2334  0.2334  0.2334

Top 10 peaks for 10 to 80 degrees two-theta, by angle:
d/Å  two_theta  I_rel  h k l
5.982  14.81  100  1 1 0
3.454  25.79  84  2 1 1
2.991  29.87  60  2 2 0
2.675  33.50  32  3 1 0
2.442  36.80  47  2 2 2
2.261  39.87  54  3 2 1
1.994  45.49  36  3 3 0
1.659  55.37  38  5 0 1
1.496  62.06  29  4 4 0
1.372  68.35  15  5 3 2

(3)
The following is a computed X-ray diffraction stick pattern of CuH2N2Cl4. It was derived from DFT lattice parameters and positions (PBE), using a wavelength of 1.5418 Å.
Kinematic intensities with the Lorentz-polarization factor, no thermal factor.

Structural model:
abc: 7.8048 7.8048 8.0766
angles: 90.00 90.00 90.00
Space group P4_2/mnm (No. 136)
Asymmetric unit:
Cu  0.0000  0.0000  0.0000
H  0.0000  0.0000  0.4125
N  0.0000  0.5000  0.2500
Cl  0.1297  0.1297  0.5000
Cl  0.1859  0.1859  0.0000

Top 10 peaks for 10 to 80 degrees two-theta, by angle:
d/Å  two_theta  I_rel  h k l
5.612  15.79  31  1 0 1
5.519  16.06  68  1 1 0
4.038  22.01  74  0 0 2
3.490  25.52  60  2 1 0
3.259  27.37  100  1 1 2
2.759  32.45  27  2 2 0
2.641  33.95  52  2 1 2
2.091  43.27  31  3 2 1
1.842  49.48  31  3 3 0
1.674  54.84  23  3 3 2

(4)
The following is a computed X-ray diffraction stick pattern of CuH12N2Cl4O2. It was derived from DFT lattice parameters and positions (PBE), using a wavelength of 1.5418 Å.
Kinematic intensities with the Lorentz-polarization factor, no thermal factor.

Structural model:
abc: 7.6663 7.6663 7.9370
angles: 90.00 90.00 90.00
Space group P4_2/mnm (No. 136)
Asymmetric unit:
Cu  0.0000  0.0000  0.0000
H  0.0700  0.4143  0.1752
H  0.0749  0.0749  0.3203
N  0.0000  0.5000  0.2500
Cl  0.2113  0.2113  0.5000
Cl  0.2119  0.2119  0.0000
O  0.0000  0.0000  0.2463

Top 10 peaks for 10 to 80 degrees two-theta, by angle:
d/Å  two_theta  I_rel  h k l
5.514  16.07  84  1 0 1
5.421  16.35  54  1 1 0
3.969  22.40  43  0 0 2
3.428  25.99  30  2 1 0
3.202  27.86  28  1 1 2
3.147  28.36  45  2 1 1
2.757  32.47  54  2 0 2
2.710  33.05  100  2 2 0
2.238  40.29  25  2 2 2
1.601  57.57  30  2 2 4

(5)
The following is a computed X-ray diffraction stick pattern of CuH12N2Cl4O2. It was derived from DFT lattice parameters and positions (PBE), using a wavelength of 1.5418 Å.
Kinematic intensities with the Lorentz-polarization factor, no thermal factor.

Structural model:
abc: 7.7301 7.7301 7.9942
angles: 90.00 90.00 90.00
Space group P4_2/mnm (No. 136)
Asymmetric unit:
Cu  0.0000  0.0000  0.0000
H  0.0725  0.4176  0.3245
H  0.0738  0.0738  0.3182
N  0.0000  0.5000  0.2500
Cl  0.2072  0.2072  0.0000
Cl  0.2161  0.2161  0.5000
O  0.0000  0.0000  0.2463

Top 10 peaks for 10 to 80 degrees two-theta, by angle:
d/Å  two_theta  I_rel  h k l
5.557  15.95  94  1 0 1
5.466  16.22  54  1 1 0
3.997  22.24  43  0 0 2
3.457  25.77  29  2 1 0
3.226  27.65  28  1 1 2
3.173  28.12  42  2 1 1
2.779  32.22  54  2 0 2
2.733  32.77  100  2 2 0
2.256  39.96  25  2 2 2
1.613  57.09  30  2 2 4

(6)
The following is a computed X-ray diffraction stick pattern of CuH4Cl2O2. It was derived from DFT lattice parameters and positions (PBE), using a wavelength of 1.5418 Å.
Kinematic intensities with the Lorentz-polarization factor, no thermal factor.

Structural model:
abc: 8.0113 3.9751 7.5314
angles: 90.00 90.00 90.00
Space group Pmna (No. 53)
Asymmetric unit:
Cu  0.0000  0.0000  0.0000
H  0.1867  0.1204  0.4130
Cl  0.0000  0.3380  0.2458
O  0.2423  0.0000  0.0000

Top 10 peaks for 10 to 80 degrees two-theta, by angle:
d/Å  two_theta  I_rel  h k l
5.487  16.15  100  1 0 1
4.006  22.19  52  2 0 0
3.975  22.37  24  0 1 0
3.515  25.33  31  0 1 1
3.219  27.71  52  1 1 1
2.734  32.76  73  0 1 2
2.642  33.93  23  2 1 1
2.258  39.93  22  2 1 2
2.126  42.53  20  3 1 1
1.616  57.00  24  4 1 2

(7)
The following is a computed X-ray diffraction stick pattern of CuH2Cl2O. It was derived from DFT lattice parameters and positions (PBE), using a wavelength of 1.5418 Å.
Kinematic intensities with the Lorentz-polarization factor, no thermal factor.

Structural model:
abc: 10.9062 6.8718 5.6964
angles: 90.00 90.00 90.00
Space group Cmc2_1 (No. 36)
Asymmetric unit:
Cu  0.0000  0.2322  0.0000
H  0.0710  0.2817  0.4307
Cl  0.1508  0.1848  0.7637
O  0.0000  0.3200  0.3316

Top 10 peaks for 10 to 80 degrees two-theta, by angle:
d/Å  two_theta  I_rel  h k l
5.453  16.25  49  2 0 0
4.069  21.84  100  1 1 1
3.436  25.93  67  0 2 0
2.942  30.38  25  0 2 1
2.907  30.76  20  2 2 0
2.799  31.98  78  3 1 1
2.525  35.56  24  2 0 2
2.034  44.54  21  2 2 2
1.970  46.09  20  4 0 2
1.635  56.27  20  3 1 3

(8)
The following is a computed X-ray diffraction stick pattern of CuH4Pb2Cl2O4. It was derived from DFT lattice parameters and positions (PBE), using a wavelength of 1.5418 Å.
Kinematic intensities with the Lorentz-polarization factor, no thermal factor.

Structural model:
abc: 5.9366 5.9366 5.6216
angles: 90.00 90.00 90.00
Space group P4mm (No. 99)
Asymmetric unit:
Cu  0.0000  0.0000  0.0000
H  0.2992  0.2992  0.0846
Pb  0.0000  0.5000  0.7042
Cl  0.0000  0.0000  0.4598
Cl  0.5000  0.5000  0.3734
O  0.2342  0.2342  0.9387

Top 10 peaks for 10 to 80 degrees two-theta, by angle:
d/Å  two_theta  I_rel  h k l
5.622  15.76  60  0 0 1
4.198  21.16  28  1 1 0
3.364  26.50  100  1 1 1
2.968  30.11  42  2 0 0
2.625  34.16  38  2 0 1
2.336  38.55  52  1 1 2
2.099  43.10  26  2 2 0
1.966  46.17  17  2 2 1
1.781  51.31  34  3 1 1
1.561  59.18  29  3 1 2

What is the formula in the second record?
CuH3NCl